[1]
# YZnCdHg
Simulated X-ray diffraction stick pattern, copper Kα. Input: the GGA-PBE geometry in Alexandria.
Kinematic intensities with the Lorentz-polarization factor, no thermal factor.

Main lines, in order of rising 2θ (10° ≤ 2θ ≤ 80°):
2θ (°)  I/Imax  hkl
21.89  17  1 1 1
25.32  2  2 0 0
36.12  100  2 2 0
42.63  10  3 1 1
52.01  17  4 0 0
57.08  4  3 3 1
58.70  1  4 2 0
64.95  35  4 2 2
69.43  3  5 1 1
76.63  11  4 4 0

Structural model:
a = 7.0338 Å, b = 7.0338 Å, c = 7.0338 Å
α = 90.00°, β = 90.00°, γ = 90.00°
Space group F-43m (No. 216)
Inequivalent atoms, fractional coordinates:
Y 0.0000 0.0000 0.0000 [4 per cell]
Zn 0.2500 0.2500 0.2500 [4 per cell]
Cd 0.0000 0.0000 0.5000 [4 per cell]
Hg 0.2500 0.2500 0.7500 [4 per cell]

***

[2]
# Th4Ge6Ir7
Simulated X-ray diffraction stick pattern, copper Kα. Input: the GGA-PBE geometry in Alexandria.
Kinematic intensities with the Lorentz-polarization factor, no thermal factor.

Main lines, in order of rising 2θ (10° ≤ 2θ ≤ 80°):
2θ (°)  I/Imax  hkl
25.30  19  2 1 1
29.29  26  2 2 0
36.08  100  2 2 2
39.08  33  3 2 1
41.90  68  4 0 0
49.58  16  3 3 2
60.75  40  4 4 0
72.74  32  6 2 2
74.65  10  6 3 1
76.54  12  4 4 4

Structural model:
a = 8.6238 Å, b = 8.6238 Å, c = 8.6238 Å
α = 90.00°, β = 90.00°, γ = 90.00°
Space group Im-3m (No. 229)
Inequivalent atoms, fractional coordinates:
Th 0.2500 0.2500 0.2500 [8 per cell]
Ge 0.0000 0.0000 0.3230 [12 per cell]
Ir 0.0000 0.0000 0.0000 [2 per cell]
Ir 0.0000 0.2500 0.5000 [12 per cell]

***

[3]
# V8H
Simulated X-ray diffraction stick pattern, copper Kα. Input: the GGA-PBE geometry in Alexandria.
Kinematic intensities with the Lorentz-polarization factor, no thermal factor.

Main lines, in order of rising 2θ (10° ≤ 2θ ≤ 80°):
2θ (°)  I/Imax  hkl
41.94  100  0 2 2
42.06  33  1 2 0
43.00  64  1 0 -2
59.25  10  2 2 2
62.38  9  -2 2 2
62.49  9  0 2 -2
76.05  9  1 4 2
78.04  22  -1 4 2
78.17  9  0 4 0
78.25  5  2 2 -2

Structural model:
a = 4.3105 Å, b = 5.2332 Å, c = 5.2439 Å
α = 69.14°, β = 87.73°, γ = 87.88°
Space group P-1 (No. 2)
Inequivalent atoms, fractional coordinates:
V 0.2208 0.3616 0.3617 [2 per cell]
V 0.2490 0.3738 0.8767 [2 per cell]
V 0.2496 0.8760 0.3738 [2 per cell]
V 0.2522 0.8747 0.8742 [2 per cell]
H 0.5000 0.5000 0.5000 [1 per cell]

***

[4]
# Sc4BeCl5
Simulated X-ray diffraction stick pattern, copper Kα. Input: the GGA-PBE geometry in Alexandria.
Kinematic intensities with the Lorentz-polarization factor, no thermal factor.

Main lines, in order of rising 2θ (10° ≤ 2θ ≤ 80°):
2θ (°)  I/Imax  hkl
11.62  36  0 0 1
21.70  16  4 0 -1
21.81  16  4 0 1
27.64  30  6 0 0
31.16  15  3 1 1
34.95  100  1 1 -2
36.39  20  6 0 -2
37.15  24  8 0 0
48.03  24  7 1 -2
48.22  24  7 1 2

Structural model:
a = 19.3632 Å, b = 3.5328 Å, c = 7.6173 Å
α = 90.00°, β = 90.32°, γ = 90.00°
Space group C2/m (No. 12)
Inequivalent atoms, fractional coordinates:
Sc 0.0000 0.0000 0.2299 [4 per cell]
Sc 0.1220 0.5000 0.0019 [4 per cell]
Be 0.0000 0.5000 0.0000 [2 per cell]
Cl 0.0000 0.5000 0.5000 [2 per cell]
Cl 0.1445 0.0000 0.2397 [4 per cell]
Cl 0.1448 0.0000 0.7649 [4 per cell]

***

[5]
# Si2Pt
Simulated X-ray diffraction stick pattern, copper Kα. Input: the GGA-PBE geometry in Alexandria.
Kinematic intensities with the Lorentz-polarization factor, no thermal factor.

Main lines, in order of rising 2θ (10° ≤ 2θ ≤ 80°):
2θ (°)  I/Imax  hkl
19.23  100  2 0 -1
25.74  31  1 1 0
29.56  46  1 1 -1
33.32  17  1 1 1
33.67  26  4 0 0
34.90  26  3 1 -1
43.34  24  3 1 -2
44.15  35  3 1 1
47.60  19  1 1 2
51.10  24  2 0 -3

Structural model:
a = 11.5161 Å, b = 3.6601 Å, c = 5.3785 Å
α = 90.00°, β = 112.39°, γ = 90.00°
Space group C2/m (No. 12)
Inequivalent atoms, fractional coordinates:
Si 0.0742 0.0000 0.3692 [4 per cell]
Si 0.1678 0.0000 0.0455 [4 per cell]
Pt 0.1071 0.5000 0.7222 [4 per cell]